Starting from a cell relaxed with PBE+U, the XRD peak list of NaSrTbVO6 was calculated for Cu Kα.
Neutral-atom scattering factors, no anomalous dispersion.

Principal peaks in the range 10 to 80 degrees two-theta, sorted by position:
two_theta, intensity
18.68, 33
21.61, 26
30.74, 100
36.22, 25
44.03, 37
54.66, 39
64.03, 22
72.70, 18

Structural model:
Cell: 5.8166 5.8166 5.8166 Å, 60.00 60.00 60.00°
Fractional positions:
Na (0.0000, 0.0000, 0.0000)
Sr (0.5000, 0.5000, 0.5000)
Tb (0.2500, 0.2500, 0.2500)
V (0.7500, 0.7500, 0.7500)
O (0.5205, 0.5205, 0.9795)
O (0.5205, 0.9795, 0.5205)
O (0.5205, 0.9795, 0.9795)
O (0.9795, 0.5205, 0.5205)
O (0.9795, 0.5205, 0.9795)
O (0.9795, 0.9795, 0.5205)